Calculated X-ray powder pattern of Ta4CoNiN2 for Cu Kα, 1.54184 Å, from a crystal structure in OQMD, relaxed with PBE.
No peak broadening, texture or thermal motion is included.

Crystal structure
```
data_Ta4CoNiN2
_chemical_formula_sum 'Ta4 Co1 Ni1 N2'
_cell_length_a 3.0643
_cell_length_b 3.0643
_cell_length_c 12.9416
_cell_angle_alpha 90.00
_cell_angle_beta 90.00
_cell_angle_gamma 120.00
_space_group_name_H-M_alt 'P -6 m 2'
_space_group_IT_number 187
_space_group_name_Hall 'P -6 2'
loop_
_atom_site_label
_atom_site_type_symbol
_atom_site_fract_x
_atom_site_fract_y
_atom_site_fract_z
Ta1 Ta 0.0000 0.0000 0.1521
Ta2 Ta 0.6667 0.3333 0.3459
Co1 Co 0.6667 0.3333 0.0000
Ni1 Ni 0.0000 0.0000 0.5000
N1 N 0.3333 0.6667 0.2490
```

Main lines, low angle first (2θ = 15–90°):
two_theta  Rel. int.
27.6  13
33.8  24
34.5  17
39.9  100
41.9  15
44.1  8
54.8  12
60.4  22
61.1  12
74.9  16
75.1  9
76.2  16